[1]
Theoretical powder diffractogram of K2NaPb for Cu Kα (weighted mean of Kα1 and Kα2), from the GGA-PBE geometry in Alexandria.
No peak broadening, texture or thermal motion is included.

Structure:
```
data_K2NaPb
_cell_length_a 5.3490
_cell_length_b 5.3490
_cell_length_c 5.6890
_cell_angle_alpha 90.00
_cell_angle_beta 90.00
_cell_angle_gamma 90.00
_symmetry_space_group_name_H-M 'P 4/m m m'
_symmetry_Int_Tables_number 123
_symmetry_space_group_name_Hall '-P 4 2'
loop_
_atom_site_label
_atom_site_fract_x
_atom_site_fract_y
_atom_site_fract_z
K1 0.0000 0.5000 0.0000
Na1 0.0000 0.0000 0.5000
Pb1 0.5000 0.5000 0.5000
```

Principal peaks in the range 2θ from 5° to 70°, low angle first:
| 2θ/deg | d_spacing | Rel. int. |
| --- | --- | --- |
| 15.58 | 5.689 | 20.4 |
| 16.57 | 5.349 | 56.8 |
| 22.82 | 3.897 | 55.1 |
| 28.34 | 3.150 | 100.0 |
| 31.45 | 2.844 | 19.0 |
| 33.51 | 2.675 | 32.1 |
| 35.75 | 2.511 | 18.2 |
| 40.93 | 2.205 | 25.4 |
| 46.61 | 1.948 | 25.0 |
| 56.78 | 1.621 | 27.4 |



[2]
Theoretical powder diffractogram of La6In for Cu Kα (weighted mean of Kα1 and Kα2), from the GGA-PBE geometry in Alexandria.
No peak broadening, texture or thermal motion is included.

Structure:
```
data_La6In
_cell_length_a 8.2878
_cell_length_b 8.2878
_cell_length_c 8.2878
_cell_angle_alpha 90.00
_cell_angle_beta 90.00
_cell_angle_gamma 90.00
_symmetry_space_group_name_H-M 'I m -3 m'
_symmetry_Int_Tables_number 229
_symmetry_space_group_name_Hall '-I 4 2 3'
loop_
_atom_site_label
_atom_site_fract_x
_atom_site_fract_y
_atom_site_fract_z
La1 0.0000 0.2500 0.5000
In1 0.0000 0.0000 0.0000
```

Principal peaks in the range 2θ from 5° to 70°, low angle first:
| 2θ/deg | d_spacing | Rel. int. |
| --- | --- | --- |
| 15.12 | 5.860 | 29.8 |
| 21.44 | 4.144 | 41.5 |
| 26.34 | 3.383 | 100.0 |
| 37.60 | 2.392 | 42.2 |
| 40.74 | 2.215 | 62.2 |
| 43.69 | 2.072 | 36.7 |
| 49.16 | 1.853 | 18.0 |
| 61.26 | 1.513 | 18.4 |
| 63.50 | 1.465 | 23.9 |
| 69.98 | 1.344 | 18.4 |



[3]
Theoretical powder diffractogram of Zr3Be2Co7 for Cu Kα (weighted mean of Kα1 and Kα2), from the GGA-PBE geometry in Alexandria.
No peak broadening, texture or thermal motion is included.

Structure:
```
data_Zr3Be2Co7
_cell_length_a 4.8799
_cell_length_b 4.8799
_cell_length_c 21.9661
_cell_angle_alpha 90.00
_cell_angle_beta 90.00
_cell_angle_gamma 120.00
_symmetry_space_group_name_H-M 'R -3 m'
_symmetry_Int_Tables_number 166
_symmetry_space_group_name_Hall '-R 3 2"'
loop_
_atom_site_label
_atom_site_fract_x
_atom_site_fract_y
_atom_site_fract_z
Zr1 0.0000 0.0000 0.0000
Zr2 0.0000 0.0000 0.1406
Be1 0.0000 0.0000 0.3344
Co1 0.0000 0.0000 0.5000
Co2 0.0019 0.5009 0.9215
```

Principal peaks in the range 2θ from 5° to 70°, low angle first:
| 2θ/deg | d_spacing | Rel. int. |
| --- | --- | --- |
| 12.09 | 7.322 | 20.1 |
| 35.64 | 2.519 | 67.0 |
| 36.84 | 2.440 | 31.0 |
| 39.12 | 2.302 | 65.8 |
| 43.00 | 2.103 | 80.8 |
| 43.62 | 2.075 | 35.3 |
| 44.63 | 2.030 | 100.0 |
| 47.76 | 1.904 | 26.7 |
| 65.58 | 1.424 | 21.5 |
| 67.88 | 1.381 | 23.0 |



[4]
Theoretical powder diffractogram of Ac3InP2N6 for Cu Kα (weighted mean of Kα1 and Kα2), from the GGA-PBE geometry in Alexandria.
No peak broadening, texture or thermal motion is included.

Structure:
```
data_Ac3InP2N6
_cell_length_a 5.7481
_cell_length_b 5.7481
_cell_length_c 6.7860
_cell_angle_alpha 90.00
_cell_angle_beta 90.00
_cell_angle_gamma 120.00
_symmetry_space_group_name_H-M 'P -3 m 1'
_symmetry_Int_Tables_number 164
_symmetry_space_group_name_Hall '-P 3 2"'
loop_
_atom_site_label
_atom_site_fract_x
_atom_site_fract_y
_atom_site_fract_z
Ac1 0.0000 0.0000 0.0000
Ac2 0.3333 0.6667 0.6578
In1 0.0000 0.0000 0.5000
P1 0.3333 0.6667 0.1954
N1 0.1778 0.3557 0.2931
```

Principal peaks in the range 2θ from 5° to 70°, low angle first:
| 2θ/deg | d_spacing | Rel. int. |
| --- | --- | --- |
| 22.15 | 4.014 | 68.6 |
| 31.12 | 2.874 | 100.0 |
| 31.92 | 2.804 | 94.3 |
| 38.53 | 2.337 | 27.9 |
| 45.18 | 2.007 | 44.1 |
| 50.33 | 1.813 | 18.3 |
| 51.41 | 1.778 | 17.4 |
| 55.37 | 1.659 | 20.2 |
| 55.88 | 1.645 | 38.6 |
| 57.38 | 1.606 | 18.1 |